For Li4Pd5, a cell relaxed with PBE gives the computed powder XRD pattern in this record (CuKα).
Intensities are scaled so that the largest is 100.

Peak list (12 most intense, 2θ from 10° to 90°, in order of falling intensity)
2.138 Å, intensity 100
3.024 Å, intensity 63
1.234 Å, intensity 19
1.512 Å, intensity 16
3.204 Å, intensity 15
1.471 Å, intensity 12
6.408 Å, intensity 12
1.118 Å, intensity 12
2.429 Å, intensity 11
2.422 Å, intensity 10
2.199 Å, intensity 9
1.745 Å, intensity 9

Structural model:
```
Li4Pd5
1.0
7.399 0.000 0.000
-3.699 6.408 0.000
0.000 0.000 5.250
Li Pd
8 10
Cartesian
0.000 0.000 0.000
0.000 0.000 2.625
-1.365 2.364 1.312
-2.334 4.043 3.937
2.730 0.000 1.312
1.365 2.364 3.937
4.669 0.000 3.937
2.334 4.043 1.312
-1.109 1.921 3.937
-2.591 4.487 1.312
2.218 0.000 3.937
1.109 1.921 1.312
0.000 4.272 0.000
0.000 4.272 2.625
3.699 2.136 0.000
3.699 2.136 2.625
5.181 0.000 1.312
2.591 4.487 3.937
```

For Li12PmPd6, a cell relaxed with PBE gives the computed powder XRD pattern in this record (CuKα).
Intensities are scaled so that the largest is 100.

Peak list (12 most intense, 2θ from 10° to 90°, in order of falling intensity)
6.999 Å, intensity 100
2.570 Å, intensity 97
2.124 Å, intensity 94
4.779 Å, intensity 84
3.777 Å, intensity 74
3.500 Å, intensity 40
2.893 Å, intensity 32
2.263 Å, intensity 25
1.521 Å, intensity 23
1.381 Å, intensity 21
1.921 Å, intensity 20
2.412 Å, intensity 20

Structural model:
```
Li12PmPd6
1.0
5.139 2.967 3.777
-5.139 2.967 3.777
0.000 -5.934 3.777
Li Pm Pd
12 1 6
Cartesian
-1.927 -2.596 3.777
-3.212 -0.371 3.777
0.000 -1.714 1.307
-1.484 0.857 1.307
1.484 0.857 1.307
1.927 -2.596 3.777
-1.285 2.967 3.777
3.212 -0.371 3.777
1.285 2.967 3.777
-1.484 -0.857 10.023
1.484 -0.857 10.023
0.000 1.714 10.023
0.000 0.000 5.665
-2.498 -1.442 5.976
0.000 -2.884 5.354
-2.498 1.442 5.354
2.498 -1.442 5.976
0.000 2.884 5.976
2.498 1.442 5.354
```